Diffraction record for NaPdBr. The XRD peak list is theoretical, not measured: it uses a crystal structure in Alexandria, relaxed with GGA-PBE and Cu Kα, 1.54184 Å.
Peak positions follow from Bragg's law for the DFT cell and can differ from measured ones.

The 12 most intense peaks (2θ from 10° to 90°), by angle:
| index | d (Å) | I/Imax |
| --- | --- | --- |
| 0 2 0 | 5.116 | 73 |
| 0 2 1 | 3.727 | 30 |
| 1 1 -2 | 2.720 | 98 |
| 1 3 0 | 2.696 | 100 |
| 0 2 2 | 2.401 | 31 |
| 2 0 0 | 2.201 | 39 |
| 1 1 2 | 1.971 | 55 |
| 0 4 2 | 1.863 | 36 |
| 1 5 0 | 1.856 | 24 |
| 2 4 -2 | 1.639 | 24 |
| 3 1 -2 | 1.533 | 16 |
| 2 0 -4 | 1.411 | 16 |

Cell lengths 4.7315, 10.2314, 5.8456 Å; angles 90.00, 111.49, 90.00 degrees
Space group C2/c (No. 15)
Symmetry-distinct sites (fractional):
Na (0.0000, 0.1866, 0.2500) [4 per cell]
Pd (0.0000, 0.5000, 0.0000) [4 per cell]
Br (0.0000, 0.1187, 0.7500) [4 per cell]

Diffraction record for NaPdBr. The XRD peak list is theoretical, not measured: it uses a crystal structure in Alexandria, relaxed with GGA-PBE and Cu Kα, 1.54184 Å.
Peak positions follow from Bragg's law for the DFT cell and can differ from measured ones.

The 12 most intense peaks (2θ from 10° to 90°), by angle:
| index | d (Å) | I/Imax |
| --- | --- | --- |
| 0 0 2 | 5.232 | 48 |
| 1 0 -1 | 3.553 | 50 |
| 0 0 3 | 3.488 | 61 |
| 1 0 -3 | 2.730 | 53 |
| 1 1 -1 | 2.558 | 48 |
| 1 1 0 | 2.494 | 67 |
| 1 -1 1 | 2.474 | 39 |
| 0 1 3 | 2.337 | 41 |
| 1 1 1 | 2.314 | 56 |
| 1 0 3 | 2.301 | 34 |
| 0 1 -4 | 2.281 | 100 |
| 0 2 -1 | 1.815 | 33 |

Cell lengths 3.6029, 3.6322, 10.7269 Å; angles 98.34, 99.53, 90.00 degrees
Space group P1 (No. 1)
Symmetry-distinct sites (fractional):
Na (0.0000, 0.0000, 0.0000) [1 per cell]
Na (0.1777, 0.6875, 0.3621) [1 per cell]
Pd (0.3241, 0.8100, 0.6559) [1 per cell]
Pd (0.7846, 0.2714, 0.5747) [1 per cell]
Br (0.4314, 0.4432, 0.8614) [1 per cell]
Br (0.6073, 0.1267, 0.2187) [1 per cell]

Diffraction record for Na2PdBr4. The XRD peak list is theoretical, not measured: it uses a crystal structure in Alexandria, relaxed with GGA-PBE and Cu Kα, 1.54184 Å.
Peak positions follow from Bragg's law for the DFT cell and can differ from measured ones.

The 12 most intense peaks (2θ from 10° to 90°), by angle:
| index | d (Å) | I/Imax |
| --- | --- | --- |
| 1 1 0 | 7.217 | 90 |
| 0 0 2 | 4.075 | 45 |
| 1 0 2 | 3.785 | 100 |
| 1 1 2 | 3.549 | 20 |
| 3 1 1 | 3.001 | 78 |
| 4 0 0 | 2.552 | 44 |
| 4 2 0 | 2.282 | 20 |
| 4 0 2 | 2.163 | 20 |
| 4 1 2 | 2.116 | 35 |
| 1 0 4 | 1.999 | 41 |
| 5 3 1 | 1.711 | 33 |
| 4 1 4 | 1.573 | 25 |

Cell lengths 10.2065, 10.2065, 8.1508 Å; angles 90.00, 90.00, 90.00 degrees
Space group P4/ncc (No. 130, origin choice 2)
Symmetry-distinct sites (fractional):
Na (0.0515, 0.5515, 0.2500) [8 per cell]
Pd (0.2500, 0.2500, 0.0630) [4 per cell]
Br (0.0126, 0.1979, 0.5664) [16 per cell]

What did the second record say?
Diffraction record for NaPdBr. The XRD peak list is theoretical, not measured: it uses a crystal structure in Alexandria, relaxed with GGA-PBE and Cu Kα, 1.54184 Å.
Peak positions follow from Bragg's law for the DFT cell and can differ from measured ones.

The 12 most intense peaks (2θ from 10° to 90°), by angle:
| index | d (Å) | I/Imax |
| --- | --- | --- |
| 0 0 2 | 5.232 | 48 |
| 1 0 -1 | 3.553 | 50 |
| 0 0 3 | 3.488 | 61 |
| 1 0 -3 | 2.730 | 53 |
| 1 1 -1 | 2.558 | 48 |
| 1 1 0 | 2.494 | 67 |
| 1 -1 1 | 2.474 | 39 |
| 0 1 3 | 2.337 | 41 |
| 1 1 1 | 2.314 | 56 |
| 1 0 3 | 2.301 | 34 |
| 0 1 -4 | 2.281 | 100 |
| 0 2 -1 | 1.815 | 33 |

Cell lengths 3.6029, 3.6322, 10.7269 Å; angles 98.34, 99.53, 90.00 degrees
Space group P1 (No. 1)
Symmetry-distinct sites (fractional):
Na (0.0000, 0.0000, 0.0000) [1 per cell]
Na (0.1777, 0.6875, 0.3621) [1 per cell]
Pd (0.3241, 0.8100, 0.6559) [1 per cell]
Pd (0.7846, 0.2714, 0.5747) [1 per cell]
Br (0.4314, 0.4432, 0.8614) [1 per cell]
Br (0.6073, 0.1267, 0.2187) [1 per cell]

Question: Which formula does entry 3 have?
Answer: Na2PdBr4